Structure and simulated X-ray powder pattern of Ta7Mo (the GGA-PBE geometry in Alexandria; CuKα).

Cell and atoms:
Cell: 4.6537 4.6537 13.2301 Å, 90.00 90.00 90.00°
Space group I4/mmm (No. 139)
Asymmetric unit:
Ta (0.0000, 0.0000, 0.0000)
Ta (0.0000, 0.0000, 0.2479)
Ta (0.0000, 0.5000, 0.1222)
Mo (0.0000, 0.0000, 0.5000)

Main lines, in order of rising 2θ (5 to 70 degrees two-theta):
hkl  2θ/deg  I (rel.)
1 0 1  20.2  2
1 0 3  27.9  1
1 1 2  30.3  1
1 1 4  38.6  100
2 0 0  38.7  50
1 0 5  39.2  1
2 1 1  44.0  1
0 0 8  55.6  9
2 2 0  55.9  17
2 0 8  69.8  18
3 1 4  70.0  35